Record 1
Structure and computed powder XRD pattern of Na3Ce2RhS6 (a crystal structure in Alexandria, relaxed with PBE; Cu Kα).
Kinematic intensities with the Lorentz-polarization factor, no thermal factor.

Atomic structure:
Lattice parameters (Å, degrees): 6.7299 6.7299 7.1092 99.02 99.02 119.93
Element x y z (fractional)
Na: 0.0000 0.0000 0.0000
Na: 0.3346 0.6654 0.0000
Na: 0.6654 0.3346 0.0000
Ce: 0.1679 0.8321 0.5000
Ce: 0.8321 0.1679 0.5000
Rh: 0.5000 0.5000 0.5000
S: 0.1140 0.4235 0.2738
S: 0.2681 0.2681 0.7178
S: 0.4235 0.1140 0.2738
S: 0.5765 0.8860 0.7262
S: 0.7319 0.7319 0.2822
S: 0.8860 0.5765 0.7262

Peak list (12 most intense, 2θ from 5° to 70°, in order of falling intensity)
2theta	d (Å)	Rel. int.
31.9	2.803	100
13.1	6.752	79
26.8	3.321	34
46.7	1.943	32
44.8	2.022	24
27.9	3.194	22
41.1	2.194	17
48.8	1.868	17
44.7	2.027	12
57.8	1.596	11
54.4	1.687	9
26.4	3.376	9

Record 2
Structure and computed powder XRD pattern of NaCe4S8 (a crystal structure in Alexandria, relaxed with PBE; Cu Kα).
Kinematic intensities with the Lorentz-polarization factor, no thermal factor.

Atomic structure:
Lattice parameters (Å, degrees): 7.8695 7.8695 9.7472 125.30 125.30 63.43
Element x y z (fractional)
Na: 0.0000 0.0000 0.0000
Ce: 0.2526 0.7474 0.5000
Ce: 0.2746 0.2746 0.0018
Ce: 0.7254 0.7254 0.9982
Ce: 0.7474 0.2526 0.5000
S: 0.0004 0.0004 0.3141
S: 0.9996 0.9996 0.6859
S: 0.0017 0.4586 0.1651
S: 0.4586 0.0017 0.1651
S: 0.4681 0.4681 0.6550
S: 0.5319 0.5319 0.3450
S: 0.5414 0.9983 0.8349
S: 0.9983 0.5414 0.8349

Peak list (12 most intense, 2θ from 5° to 70°, in order of falling intensity)
2theta	d (Å)	Rel. int.
13.2	6.694	100
28.3	3.150	49
24.9	3.580	38
28.2	3.168	29
43.8	2.067	28
36.9	2.439	26
36.6	2.454	25
45.9	1.978	17
52.9	1.732	9
47.9	1.898	9
46.1	1.969	8
58.3	1.582	6

Record 3
Structure and computed powder XRD pattern of Na2Ce3S6 (a crystal structure in Alexandria, relaxed with PBE; Cu Kα).
Kinematic intensities with the Lorentz-polarization factor, no thermal factor.

Atomic structure:
Lattice parameters (Å, degrees): 7.1787 7.1787 7.0218 99.74 99.74 119.98
Element x y z (fractional)
Na: 0.1679 0.8321 0.0000
Na: 0.8321 0.1679 0.0000
Ce: 0.0000 0.0000 0.5000
Ce: 0.3352 0.6648 0.5000
Ce: 0.6648 0.3352 0.5000
S: 0.0669 0.4066 0.7215
S: 0.2529 0.2529 0.2760
S: 0.4066 0.0669 0.7215
S: 0.5934 0.9331 0.2785
S: 0.7471 0.7471 0.7240
S: 0.9331 0.5934 0.2785

Peak list (12 most intense, 2θ from 5° to 70°, in order of falling intensity)
2theta	d (Å)	Rel. int.
13.4	6.608	100
30.7	2.909	74
25.2	3.532	53
43.7	2.073	41
30.8	2.904	37
45.9	1.978	27
26.4	3.375	25
44.5	2.038	25
40.6	2.223	23
33.7	2.661	19
54.4	1.687	14
44.4	2.042	12

Record 4
Structure and computed powder XRD pattern of Na3Ce3SbS8 (a crystal structure in Alexandria, relaxed with PBE; Cu Kα).
Kinematic intensities with the Lorentz-polarization factor, no thermal factor.

Atomic structure:
Lattice parameters (Å, degrees): 8.1448 8.1448 8.1448 60.58 60.58 60.58
Element x y z (fractional)
Na: 0.0000 0.5000 0.5000
Na: 0.5000 0.0000 0.5000
Na: 0.5000 0.5000 0.0000
Ce: 0.0000 0.0000 0.5000
Ce: 0.0000 0.5000 0.0000
Ce: 0.5000 0.0000 0.0000
Sb: 0.5000 0.5000 0.5000
S: 0.2441 0.2441 0.2441
S: 0.2462 0.7377 0.7377
S: 0.2623 0.2623 0.7538
S: 0.2623 0.7538 0.2623
S: 0.7377 0.2462 0.7377
S: 0.7377 0.7377 0.2462
S: 0.7538 0.2623 0.2623
S: 0.7559 0.7559 0.7559

Peak list (12 most intense, 2θ from 5° to 70°, in order of falling intensity)
2theta	d (Å)	Rel. int.
30.9	2.892	100
13.4	6.621	83
25.4	3.502	43
44.1	2.054	36
44.5	2.036	34
26.6	3.349	22
46.3	1.962	22
40.7	2.218	19
54.8	1.675	18
33.8	2.650	16
64.4	1.446	11
52.4	1.745	8

Record 5
Structure and computed powder XRD pattern of NaCeSc4S8 (a crystal structure in Alexandria, relaxed with PBE; Cu Kα).
Kinematic intensities with the Lorentz-polarization factor, no thermal factor.

Atomic structure:
Lattice parameters (Å, degrees): 7.9254 7.9254 7.9254 58.03 58.03 58.03
Element x y z (fractional)
Na: 0.0000 0.0000 0.0000
Ce: 0.3668 0.3668 0.3668
Sc: 0.3643 0.3643 0.8847
Sc: 0.3643 0.8847 0.3643
Sc: 0.7418 0.7418 0.7418
Sc: 0.8847 0.3643 0.3643
S: 0.1202 0.1202 0.5849
S: 0.1202 0.5849 0.1202
S: 0.1338 0.1338 0.1338
S: 0.1335 0.6237 0.6237
S: 0.5849 0.1202 0.1202
S: 0.6117 0.6117 0.6117
S: 0.6237 0.1335 0.6237
S: 0.6237 0.6237 0.1335

Peak list (12 most intense, 2θ from 5° to 70°, in order of falling intensity)
2theta	d (Å)	Rel. int.
32.5	2.758	100
26.9	3.317	85
14.0	6.307	81
45.8	1.980	55
47.3	1.922	54
26.3	3.390	39
23.1	3.844	31
42.6	2.121	29
16.1	5.516	26
43.0	2.102	24
68.0	1.379	18
36.0	2.496	17

Record 6
Structure and computed powder XRD pattern of Na2CeSnS4 (a crystal structure in Alexandria, relaxed with PBE; Cu Kα).
Kinematic intensities with the Lorentz-polarization factor, no thermal factor.

Atomic structure:
Lattice parameters (Å, degrees): 6.9652 4.0899 7.1811 90.00 109.27 90.00
Element x y z (fractional)
Na: 0.0000 0.0000 0.0000
Na: 0.0000 0.5000 0.5000
Ce: 0.5000 0.0000 0.5000
Sn: 0.5000 0.5000 0.0000
S: 0.2712 0.0000 0.7411
S: 0.2721 0.5000 0.2648
S: 0.7279 0.5000 0.7352
S: 0.7288 0.0000 0.2589

Peak list (12 most intense, 2θ from 5° to 70°, in order of falling intensity)
2theta	d (Å)	Rel. int.
30.9	2.893	100
13.5	6.575	96
31.0	2.883	49
43.8	2.066	37
25.4	3.502	36
44.3	2.046	35
44.9	2.019	33
26.7	3.336	22
55.1	1.668	18
25.3	3.523	16
40.7	2.216	15
34.1	2.631	13